Tb4CdCuRh2: computed XRD peak list (Cu Kα), based on a cell relaxed with GGA-PBE.
Neutral-atom scattering factors, no anomalous dispersion.

Main lines, low angle first (10 to 90 degrees two-theta):
d (Å)	I (rel.)
3.529	6.2
2.496	100.0
1.765	17.2
1.579	2.4
1.442	26.5
1.439	7.7
1.249	5.6
1.247	4.8
1.117	7.8
1.116	6.9

Cell and atoms:
Cell lengths 8.6329, 8.6329, 8.6329 Å; angles 33.64, 33.64, 33.64 degrees
Element x y z (fractional)
Tb1 0.1199 0.1199 0.1199
Tb2 0.3706 0.3706 0.3706
Tb3 0.6294 0.6294 0.6294
Tb4 0.8801 0.8801 0.8801
Cd1 0.5000 0.5000 0.5000
Cu1 0.0000 0.0000 0.0000
Rh1 0.2483 0.2483 0.2483
Rh2 0.7517 0.7517 0.7517